Record 1
This entry pairs a crystal structure of Ac2NdSi3Pt12 with its calculated PXRD pattern. Radiation: Cu Kα X-rays. Structure: a cell relaxed with PBE.

Top 10 peaks for 5 to 70 degrees two-theta, low angle first:
d = 3.966 Å, 22.42°, intensity 90
d = 3.358 Å, 26.55°, intensity 87
d = 2.881 Å, 31.04°, intensity 1000
d = 2.636 Å, 34.01°, intensity 269
d = 2.621 Å, 34.21°, intensity 108
d = 2.097 Å, 43.15°, intensity 554
d = 1.983 Å, 45.76°, intensity 388
d = 1.921 Å, 47.33°, intensity 125
d = 1.695 Å, 54.10°, intensity 159
d = 1.441 Å, 64.71°, intensity 110

Crystal structure
```
18
Lattice="4.1930 2.4208 6.3112 -4.1930 2.4208 6.3112 0.0000 -4.8417 6.3112" Properties=species:S:1:pos:R:3 pbc="T T T"
Ac 0.0000 0.0000 1.9264
Ac 0.0000 0.0000 17.0073
Nd 0.0000 0.0000 9.4668
Si -2.0965 -1.2104 6.3112
Si -2.0965 1.2104 12.6224
Si 0.0000 2.4208 6.3112
Pt -2.3045 -1.3305 8.6705
Pt 0.0000 -2.1462 5.7455
Pt -1.8586 1.0731 5.7455
Pt 0.0000 -2.6610 10.2631
Pt -2.3045 1.3305 10.2631
Pt -1.8587 -1.0731 13.1882
Pt 1.8586 1.0731 5.7455
Pt 2.3045 -1.3305 8.6705
Pt 0.0000 2.6610 8.6705
Pt 1.8587 -1.0731 13.1882
Pt 0.0000 2.1462 13.1882
Pt 2.3045 1.3305 10.2632
```

=====

Record 2
This entry pairs a crystal structure of SrAcZnCu with its calculated PXRD pattern. Radiation: Cu Kα X-rays. Structure: a cell relaxed with PBE.

Top 10 peaks for 5 to 70 degrees two-theta, low angle first:
d = 7.887 Å, 11.22°, intensity 1000
d = 3.756 Å, 23.69°, intensity 238
d = 3.737 Å, 23.81°, intensity 471
d = 3.603 Å, 24.71°, intensity 192
d = 3.192 Å, 27.95°, intensity 896
d = 2.969 Å, 30.10°, intensity 409
d = 2.953 Å, 30.26°, intensity 814
d = 2.523 Å, 35.58°, intensity 650
d = 2.193 Å, 41.16°, intensity 565
d = 2.181 Å, 41.41°, intensity 278

Crystal structure
```
4
Lattice="3.8058 -2.1805 0.0000 3.8058 2.1805 0.0000 -2.5173 0.0000 7.8866" Properties=species:S:1:pos:R:3 pbc="T T T"
Sr 0.0000 0.0000 0.0000
Ac 5.0911 0.0000 3.7258
Zn 0.0176 0.0000 5.7675
Cu 2.5495 0.0000 5.7150
```

=====

Record 3
This entry pairs a crystal structure of RbMgGa2Ge2 with its calculated PXRD pattern. Radiation: Cu Kα X-rays. Structure: a cell relaxed with PBE.

Top 10 peaks for 5 to 70 degrees two-theta, low angle first:
d = 4.979 Å, 17.81°, intensity 150
d = 3.440 Å, 25.90°, intensity 279
d = 3.320 Å, 26.86°, intensity 269
d = 2.952 Å, 30.28°, intensity 1000
d = 2.461 Å, 36.52°, intensity 113
d = 2.116 Å, 42.73°, intensity 559
d = 1.784 Å, 51.19°, intensity 266
d = 1.750 Å, 52.27°, intensity 227
d = 1.720 Å, 53.26°, intensity 197
d = 1.612 Å, 57.12°, intensity 108

Crystal structure
```
6
Lattice="4.2325 0.0000 0.0000 -2.1162 3.6654 0.0000 0.0000 0.0000 9.9590" Properties=species:S:1:pos:R:3 pbc="T T T"
Rb 0.0000 0.0000 0.0000
Mg 0.0000 0.0000 4.9795
Ga 0.0000 2.4436 7.2759
Ga 2.1162 1.2218 2.6831
Ge 0.0000 2.4436 3.2273
Ge 2.1162 1.2218 6.7317
```

=====

Record 4
This entry pairs a crystal structure of Sr2PCl with its calculated PXRD pattern. Radiation: Cu Kα X-rays. Structure: a cell relaxed with PBE.

Top 10 peaks for 5 to 70 degrees two-theta, low angle first:
d = 3.563 Å, 24.99°, intensity 532
d = 3.123 Å, 28.59°, intensity 1000
d = 3.015 Å, 29.63°, intensity 454
d = 2.208 Å, 40.87°, intensity 365
d = 2.169 Å, 41.64°, intensity 690
d = 1.877 Å, 48.50°, intensity 196
d = 1.781 Å, 51.29°, intensity 367
d = 1.396 Å, 67.01°, intensity 162
d = 1.386 Å, 67.56°, intensity 158
d = 1.358 Å, 69.20°, intensity 147

Crystal structure
```
4
Lattice="4.4161 0.0000 0.0000 0.0000 4.4161 0.0000 0.0000 0.0000 6.0301" Properties=species:S:1:pos:R:3 pbc="T T T"
Sr 0.0000 0.0000 0.0000
Sr 2.2080 2.2080 3.0150
P 0.0000 0.0000 3.0150
Cl 2.2080 2.2080 0.0000
```

=====

Record 5
This entry pairs a crystal structure of Nb3OsW2 with its calculated PXRD pattern. Radiation: Cu Kα X-rays. Structure: a cell relaxed with PBE.

Top 6 peaks for 5 to 70 degrees two-theta, low angle first:
d = 3.227 Å, 27.64°, intensity 122
d = 2.282 Å, 39.49°, intensity 1000
d = 1.863 Å, 48.88°, intensity 37
d = 1.614 Å, 57.08°, intensity 171
d = 1.444 Å, 64.54°, intensity 25
d = 1.442 Å, 64.61°, intensity 25

Crystal structure
```
12
Lattice="2.2852 -6.8424 0.0000 2.2852 6.8424 0.0000 0.0000 0.0000 6.4480" Properties=species:S:1:pos:R:3 pbc="T T T"
Nb 0.0000 0.0000 1.6105
Nb 0.0000 0.0000 4.8376
Nb 2.2852 2.2860 1.6103
Nb 2.2852 2.2860 4.8377
Nb 2.2852 -2.2860 1.6103
Nb 2.2852 -2.2860 4.8377
Os 2.2852 4.5630 0.0000
Os 2.2852 -4.5630 0.0000
W 2.2852 4.5526 3.2240
W 2.2852 0.0000 0.0000
W 2.2852 0.0000 3.2240
W 2.2852 -4.5526 3.2240
```

=====

Record 6
This entry pairs a crystal structure of TmAl6Os with its calculated PXRD pattern. Radiation: Cu Kα X-rays. Structure: a cell relaxed with PBE.

Top 10 peaks for 5 to 70 degrees two-theta, low angle first:
d = 4.381 Å, 20.27°, intensity 1000
d = 3.358 Å, 26.54°, intensity 787
d = 2.890 Å, 30.94°, intensity 331
d = 2.412 Å, 37.27°, intensity 451
d = 2.191 Å, 41.21°, intensity 161
d = 2.088 Å, 43.34°, intensity 479
d = 2.063 Å, 43.90°, intensity 256
d = 1.852 Å, 49.20°, intensity 237
d = 1.746 Å, 52.41°, intensity 207
d = 1.460 Å, 63.73°, intensity 155

Crystal structure
```
8
Lattice="2.8900 1.6686 6.0377 -2.8900 1.6686 6.0377 0.0000 -3.3371 6.0377" Properties=species:S:1:pos:R:3 pbc="T T T"
Tm 0.0000 0.0000 0.0000
Al -1.5150 -0.8747 7.3837
Al 0.0000 -1.7494 10.7295
Al -1.5150 0.8747 10.7295
Al 1.5150 -0.8747 7.3837
Al 0.0000 1.7494 7.3837
Al 1.5150 0.8747 10.7295
Os 0.0000 0.0000 9.0566
```

=====

What did the second record say?
This entry pairs a crystal structure of SrAcZnCu with its calculated PXRD pattern. Radiation: Cu Kα X-rays. Structure: a cell relaxed with PBE.

Top 10 peaks for 5 to 70 degrees two-theta, low angle first:
d = 7.887 Å, 11.22°, intensity 1000
d = 3.756 Å, 23.69°, intensity 238
d = 3.737 Å, 23.81°, intensity 471
d = 3.603 Å, 24.71°, intensity 192
d = 3.192 Å, 27.95°, intensity 896
d = 2.969 Å, 30.10°, intensity 409
d = 2.953 Å, 30.26°, intensity 814
d = 2.523 Å, 35.58°, intensity 650
d = 2.193 Å, 41.16°, intensity 565
d = 2.181 Å, 41.41°, intensity 278

Crystal structure
```
4
Lattice="3.8058 -2.1805 0.0000 3.8058 2.1805 0.0000 -2.5173 0.0000 7.8866" Properties=species:S:1:pos:R:3 pbc="T T T"
Sr 0.0000 0.0000 0.0000
Ac 5.0911 0.0000 3.7258
Zn 0.0176 0.0000 5.7675
Cu 2.5495 0.0000 5.7150
```